No. 1
Theoretical powder diffractogram of NaLiICl for Cu Kα X-rays, from a PBE-relaxed structure.
Lines closer than 0.1° are merged.

Top 10 peaks for 2θ = 10–90°, most intense first:
d [Å], 2θ/deg, I/Imax
3.418, 26.07, 100
2.893, 30.91, 67
2.118, 42.70, 53
4.092, 21.72, 51
3.108, 28.73, 41
2.475, 36.30, 28
1.755, 52.10, 27
6.215, 14.25, 27
1.709, 53.64, 26
2.046, 44.27, 24

Cell and atoms:
```
NaLiICl
1.0
4.0916 0.0000 0.0000
0.0000 4.0916 0.0000
0.0000 0.0000 6.2153
Na Li I Cl
1 1 1 1
direct
0.0000 0.0000 0.0000
0.5000 0.5000 0.5000
0.0000 0.0000 0.5000
0.5000 0.5000 0.0000
```


No. 2
Theoretical powder diffractogram of Ga3Ni2 for Cu Kα X-rays, from a PBE-relaxed structure.
Lines closer than 0.1° are merged.

Top 10 peaks for 2θ = 10–90°, most intense first:
d [Å], 2θ/deg, I/Imax
2.008, 45.16, 100
2.045, 44.30, 100
1.173, 82.16, 32
1.432, 65.12, 32
2.865, 31.22, 27
3.541, 25.15, 16
1.180, 81.55, 15
4.875, 18.20, 12
1.152, 83.98, 11
1.664, 55.19, 5

Cell and atoms:
```
Ga3Ni2
1.0
4.0890 0.0000 0.0000
-2.0445 3.5412 0.0000
0.0000 0.0000 4.8746
Ga Ni
3 2
direct
0.0000 0.0000 0.0000
0.3333 0.6667 0.3617
0.6667 0.3333 0.6383
0.3333 0.6667 0.8636
0.6667 0.3333 0.1364
```


No. 3
Theoretical powder diffractogram of AgSbSe2F6 for Cu Kα X-rays, from a PBE-relaxed structure.
Lines closer than 0.1° are merged.

Top 10 peaks for 2θ = 10–90°, most intense first:
d [Å], 2θ/deg, I/Imax
3.623, 24.57, 100
3.664, 24.29, 70
3.633, 24.50, 53
4.839, 18.34, 47
3.935, 22.60, 34
2.213, 40.78, 32
2.827, 31.65, 28
4.923, 18.02, 26
2.779, 32.22, 23
5.652, 15.68, 20

Cell and atoms:
```
AgSbSe2F6
1.0
11.2488 -5.5559 0.0000
11.2488 5.5559 0.0000
-5.2986 0.0000 9.5898
Ag Sb Se F
6 6 12 36
direct
0.0178 0.9822 0.7500
0.3106 0.3538 0.3452
0.3538 0.3106 0.8452
0.6462 0.6894 0.1548
0.6894 0.6462 0.6548
0.9822 0.0178 0.2500
0.0000 0.5000 0.0000
0.0000 0.5000 0.5000
0.4810 0.5190 0.7500
0.5000 0.0000 0.0000
0.5000 0.0000 0.5000
0.5190 0.4810 0.2500
0.0790 0.1272 0.5377
0.0917 0.7799 0.9061
0.1225 0.7868 0.3960
0.1272 0.0790 0.0377
0.2132 0.8775 0.1040
0.2201 0.9083 0.5939
0.7799 0.0917 0.4061
0.7868 0.1225 0.8960
0.8728 0.9210 0.9623
0.8775 0.2132 0.6040
0.9083 0.2201 0.0939
0.9210 0.8728 0.4623
0.0159 0.3237 0.9024
0.0833 0.3279 0.3690
0.0900 0.4438 0.1738
0.1197 0.5468 0.4971
0.1375 0.4118 0.6510
0.1783 0.4291 0.9774
0.3081 0.6919 0.7500
0.3237 0.0159 0.4024
0.3279 0.0833 0.8690
0.3461 0.6539 0.2500
0.3980 0.4355 0.7600
0.4118 0.1375 0.1510
0.4291 0.1783 0.4774
0.4286 0.4663 0.5494
0.4355 0.3980 0.2600
0.4439 0.0900 0.6738
0.4532 0.8803 0.0029
0.4663 0.4286 0.0494
0.5337 0.5714 0.9506
0.5468 0.1197 0.9971
0.5561 0.9100 0.3262
0.5645 0.6020 0.7400
0.5714 0.5337 0.4506
0.5709 0.8217 0.5226
0.5882 0.8625 0.8490
0.6020 0.5645 0.2400
0.6539 0.3461 0.7500
0.6721 0.9167 0.1310
0.6763 0.9841 0.5976
0.6919 0.3081 0.2500
0.8217 0.5709 0.0226
0.8625 0.5882 0.3490
0.8803 0.4532 0.5029
0.9100 0.5562 0.8262
0.9167 0.6721 0.6310
0.9841 0.6763 0.0976
```


No. 4
Theoretical powder diffractogram of NaCa3C2O7F3 for Cu Kα X-rays, from a PBE-relaxed structure.
Lines closer than 0.1° are merged.

Top 10 peaks for 2θ = 10–90°, most intense first:
d [Å], 2θ/deg, I/Imax
2.040, 44.42, 100
1.954, 46.47, 83
2.822, 31.71, 79
2.556, 35.11, 51
3.385, 26.33, 50
5.863, 15.11, 38
5.112, 17.35, 36
2.216, 40.72, 36
2.033, 44.57, 30
2.879, 31.06, 22

Cell and atoms:
```
NaCa3C2O7F3
1.0
6.7697 0.0000 0.0000
-3.3848 5.8627 0.0000
0.0000 0.0000 15.3348
Na Ca C O F
3 9 6 21 9
direct
0.0000 0.2760 0.3333
0.2760 0.0000 0.6667
0.7240 0.7240 0.0000
0.0000 0.6195 0.8333
0.0016 0.6333 0.1707
0.3667 0.3684 0.8374
0.3684 0.3667 0.1626
0.3805 0.3805 0.5000
0.6195 0.0000 0.1667
0.6316 0.9984 0.5041
0.6333 0.0016 0.8293
0.9984 0.6316 0.4959
0.2428 0.6764 0.9986
0.3236 0.5664 0.6652
0.4336 0.7572 0.3319
0.5664 0.3236 0.3348
0.6764 0.2428 0.0014
0.7572 0.4336 0.6681
0.0000 0.7690 0.3333
0.0764 0.7172 0.9978
0.2310 0.2310 0.0000
0.2828 0.3592 0.6644
0.3173 0.6449 0.0729
0.3276 0.6827 0.4062
0.3294 0.6642 0.2593
0.3348 0.6706 0.5926
0.3358 0.6652 0.9259
0.3551 0.6724 0.7395
0.3592 0.2828 0.3356
0.6408 0.9236 0.3311
0.6449 0.3173 0.9271
0.6642 0.3294 0.7407
0.6652 0.3358 0.0741
0.6706 0.3348 0.4074
0.6724 0.3551 0.2605
0.6827 0.3276 0.5938
0.7172 0.0764 0.0022
0.7690 0.0000 0.6667
0.9236 0.6408 0.6689
0.0000 0.2777 0.8333
0.0043 0.2731 0.4820
0.2688 0.9957 0.8153
0.2731 0.0043 0.5180
0.2777 0.0000 0.1667
0.7223 0.7223 0.5000
0.7269 0.7312 0.1486
0.7312 0.7269 0.8514
0.9957 0.2688 0.1847
```


No. 5
Theoretical powder diffractogram of Mg2ZnSb2 for Cu Kα X-rays, from a PBE-relaxed structure.
Lines closer than 0.1° are merged.

Top 10 peaks for 2θ = 10–90°, most intense first:
d [Å], 2θ/deg, I/Imax
3.426, 26.01, 100
2.245, 40.17, 85
2.651, 33.81, 84
2.052, 44.13, 63
3.888, 22.87, 62
3.624, 24.57, 37
1.908, 47.65, 37
1.256, 75.76, 24
1.515, 61.19, 23
1.713, 53.49, 22

Cell and atoms:
```
Mg2ZnSb2
1.0
4.4899 0.0000 0.0000
-2.2450 3.8884 0.0000
0.0000 0.0000 7.2474
Mg Zn Sb
2 1 2
direct
0.0000 0.0000 0.0000
0.3333 0.6667 0.6335
0.6667 0.3333 0.2535
0.0000 0.0000 0.3947
0.6667 0.3333 0.8518
```


No. 6
Theoretical powder diffractogram of Dy2Al for Cu Kα X-rays, from a PBE-relaxed structure.
Lines closer than 0.1° are merged.

Top 10 peaks for 2θ = 10–90°, most intense first:
d [Å], 2θ/deg, I/Imax
2.672, 33.54, 100
2.643, 33.92, 98
2.561, 35.04, 60
3.704, 24.03, 58
2.682, 33.42, 51
3.059, 29.20, 42
2.754, 32.52, 37
1.852, 49.20, 34
3.814, 23.32, 31
1.524, 60.76, 27

Cell and atoms:
```
Dy2Al
1.0
6.5318 0.0000 0.0000
0.0000 5.1215 0.0000
0.0000 0.0000 9.3952
Dy Al
8 4
direct
0.0276 0.2500 0.2102
0.1914 0.2500 0.5722
0.3086 0.7500 0.0722
0.4724 0.7500 0.7102
0.5276 0.2500 0.2898
0.6914 0.2500 0.9278
0.8086 0.7500 0.4278
0.9724 0.7500 0.7898
0.2093 0.2500 0.8976
0.2907 0.7500 0.3976
0.7093 0.2500 0.6024
0.7907 0.7500 0.1024
```